No. 1
This entry pairs a crystal structure of PrCd20Ni2 with its computed PXRD pattern. Radiation: Cu Kα, 1.54184 Å. Structure: a cell relaxed with GGA-PBE.

Structural model:
Unit cell a=11.1804 b=11.1804 c=11.1804 alpha=60.00 beta=60.00 gamma=60.00
Fractional coordinates of all 46 atoms:
Pr1 0.1250 0.1250 0.1250
Pr2 0.8750 0.8750 0.8750
Cd1 0.0000 0.0000 0.0000
Cd2 0.0000 0.0000 0.5000
Cd3 0.0000 0.5000 0.0000
Cd4 0.0559 0.3248 0.3248
Cd5 0.0559 0.3248 0.7944
Cd6 0.0559 0.7944 0.3248
Cd7 0.2056 0.6752 0.6752
Cd8 0.2056 0.6752 0.9441
Cd9 0.2056 0.9441 0.6752
Cd10 0.2384 0.2384 0.5116
Cd11 0.2384 0.5116 0.2384
Cd12 0.2384 0.5116 0.5116
Cd13 0.3248 0.0559 0.3248
Cd14 0.3248 0.0559 0.7944
Cd15 0.3248 0.3248 0.0559
Cd16 0.3248 0.3248 0.7944
Cd17 0.3248 0.7944 0.0559
Cd18 0.3248 0.7944 0.3248
Cd19 0.4884 0.4884 0.7616
Cd20 0.4884 0.7616 0.4884
Cd21 0.4884 0.7616 0.7616
Cd22 0.5000 0.0000 0.0000
Cd23 0.5116 0.2384 0.2384
Cd24 0.5116 0.2384 0.5116
Cd25 0.5116 0.5116 0.2384
Cd26 0.6752 0.2056 0.6752
Cd27 0.6752 0.2056 0.9441
Cd28 0.6752 0.6752 0.2056
Cd29 0.6752 0.6752 0.9441
Cd30 0.6752 0.9441 0.2056
Cd31 0.6752 0.9441 0.6752
Cd32 0.7616 0.4884 0.4884
Cd33 0.7616 0.4884 0.7616
Cd34 0.7616 0.7616 0.4884
Cd35 0.7944 0.0559 0.3248
Cd36 0.7944 0.3248 0.0559
Cd37 0.7944 0.3248 0.3248
Cd38 0.9441 0.2056 0.6752
Cd39 0.9441 0.6752 0.2056
Cd40 0.9441 0.6752 0.6752
Ni1 0.0000 0.5000 0.5000
Ni2 0.5000 0.0000 0.5000
Ni3 0.5000 0.5000 0.0000
Ni4 0.5000 0.5000 0.5000

Most intense lines, 2θ from 10° to 90°, sorted by position:
- 2θ = 33.5°, rel. 100
- 2θ = 35.9°, rel. 35
- 2θ = 37.3°, rel. 64
- 2θ = 37.7°, rel. 64
- 2θ = 39.5°, rel. 20
- 2θ = 40.8°, rel. 27
- 2θ = 48.9°, rel. 23
- 2θ = 58.0°, rel. 18
- 2θ = 67.0°, rel. 41
- 2θ = 70.2°, rel. 18


No. 2
This entry pairs a crystal structure of Sm2CdNi2 with its computed PXRD pattern. Radiation: Cu Kα, 1.54184 Å. Structure: a cell relaxed with GGA-PBE.

Structural model:
Unit cell a=7.4661 b=7.4661 c=3.7830 alpha=90.00 beta=90.00 gamma=149.57
Fractional coordinates of all 5 atoms:
Sm1 0.1361 0.8639 0.0000
Sm2 0.8639 0.1361 0.0000
Cd1 0.5000 0.5000 0.5000
Ni1 0.2987 0.7013 0.5000
Ni2 0.7013 0.2987 0.5000

Most intense lines, 2θ from 10° to 90°, sorted by position:
- 2θ = 29.4°, rel. 39
- 2θ = 33.5°, rel. 100
- 2θ = 34.4°, rel. 76
- 2θ = 38.0°, rel. 33
- 2θ = 38.8°, rel. 38
- 2θ = 46.3°, rel. 24
- 2θ = 48.1°, rel. 22
- 2θ = 56.0°, rel. 16
- 2θ = 59.0°, rel. 31
- 2θ = 63.4°, rel. 17


No. 3
This entry pairs a crystal structure of SmCdNi4 with its computed PXRD pattern. Radiation: Cu Kα, 1.54184 Å. Structure: a cell relaxed with GGA-PBE.

Structural model:
Unit cell a=5.0150 b=5.0150 c=5.0150 alpha=60.00 beta=60.00 gamma=60.00
Fractional coordinates of all 6 atoms:
Sm1 0.0000 0.0000 0.0000
Cd1 0.7500 0.7500 0.7500
Ni1 0.3761 0.3761 0.3761
Ni2 0.3761 0.3761 0.8716
Ni3 0.3761 0.8716 0.3761
Ni4 0.8716 0.3761 0.3761

Most intense lines, 2θ from 10° to 90°, sorted by position:
- 2θ = 21.7°, rel. 7
- 2θ = 35.8°, rel. 55
- 2θ = 42.3°, rel. 100
- 2θ = 44.2°, rel. 20
- 2θ = 56.6°, rel. 2
- 2θ = 64.4°, rel. 19
- 2θ = 68.8°, rel. 30
- 2θ = 75.9°, rel. 22
- 2θ = 80.0°, rel. 1
- 2θ = 86.9°, rel. 9


No. 4
This entry pairs a crystal structure of Sm4CdNi with its computed PXRD pattern. Radiation: Cu Kα, 1.54184 Å. Structure: a cell relaxed with GGA-PBE.

Structural model:
Unit cell a=9.7282 b=9.7282 c=9.7282 alpha=60.00 beta=60.00 gamma=60.00
Fractional coordinates of all 24 atoms:
Sm1 0.1855 0.1855 0.8145
Sm2 0.1855 0.8145 0.1855
Sm3 0.1855 0.8145 0.8145
Sm4 0.4029 0.4029 0.4029
Sm5 0.4029 0.4029 0.7912
Sm6 0.4029 0.7912 0.4029
Sm7 0.5612 0.5612 0.9388
Sm8 0.5612 0.9388 0.5612
Sm9 0.5612 0.9388 0.9388
Sm10 0.7912 0.4029 0.4029
Sm11 0.8145 0.1855 0.1855
Sm12 0.8145 0.1855 0.8145
Sm13 0.8145 0.8145 0.1855
Sm14 0.9388 0.5612 0.5612
Sm15 0.9388 0.5612 0.9388
Sm16 0.9388 0.9388 0.5612
Cd1 0.1702 0.1702 0.1702
Cd2 0.1702 0.1702 0.4893
Cd3 0.1702 0.4893 0.1702
Cd4 0.4893 0.1702 0.1702
Ni1 0.1756 0.6081 0.6081
Ni2 0.6081 0.1756 0.6081
Ni3 0.6081 0.6081 0.1756
Ni4 0.6081 0.6081 0.6081

Most intense lines, 2θ from 10° to 90°, sorted by position:
- 2θ = 28.3°, rel. 32
- 2θ = 31.9°, rel. 59
- 2θ = 33.9°, rel. 100
- 2θ = 37.0°, rel. 25
- 2θ = 54.6°, rel. 13
- 2θ = 56.8°, rel. 52
- 2θ = 58.1°, rel. 13
- 2θ = 67.8°, rel. 17
- 2θ = 85.6°, rel. 15
- 2θ = 87.4°, rel. 12


No. 5
This entry pairs a crystal structure of Tb2CdNi2 with its computed PXRD pattern. Radiation: Cu Kα, 1.54184 Å. Structure: a cell relaxed with GGA-PBE.

Structural model:
Unit cell a=7.3556 b=7.3556 c=3.6904 alpha=90.00 beta=90.00 gamma=149.54
Fractional coordinates of all 5 atoms:
Tb1 0.1375 0.8625 0.0000
Tb2 0.8625 0.1375 0.0000
Cd1 0.5000 0.5000 0.5000
Ni1 0.2987 0.7013 0.5000
Ni2 0.7013 0.2987 0.5000

Most intense lines, 2θ from 10° to 90°, sorted by position:
- 2θ = 29.9°, rel. 43
- 2θ = 34.2°, rel. 100
- 2θ = 35.1°, rel. 76
- 2θ = 38.7°, rel. 37
- 2θ = 39.4°, rel. 35
- 2θ = 47.0°, rel. 25
- 2θ = 49.4°, rel. 21
- 2θ = 57.0°, rel. 18
- 2θ = 60.0°, rel. 32
- 2θ = 64.9°, rel. 15


No. 6
This entry pairs a crystal structure of Tb2CdNi2 with its computed PXRD pattern. Radiation: Cu Kα, 1.54184 Å. Structure: a cell relaxed with GGA-PBE.

Structural model:
Unit cell a=7.3412 b=7.3412 c=3.6899 alpha=90.00 beta=90.00 gamma=90.00
Fractional coordinates of all 10 atoms:
Tb1 0.1793 0.3207 0.0000
Tb2 0.3207 0.8207 0.0000
Tb3 0.6793 0.1793 0.0000
Tb4 0.8207 0.6793 0.0000
Cd1 0.0000 0.0000 0.5000
Cd2 0.5000 0.5000 0.5000
Ni1 0.1157 0.6157 0.5000
Ni2 0.3843 0.1157 0.5000
Ni3 0.6157 0.8843 0.5000
Ni4 0.8843 0.3843 0.5000

Most intense lines, 2θ from 10° to 90°, sorted by position:
- 2θ = 27.2°, rel. 21
- 2θ = 34.5°, rel. 86
- 2θ = 36.6°, rel. 100
- 2θ = 38.8°, rel. 41
- 2θ = 49.4°, rel. 18
- 2θ = 51.3°, rel. 19
- 2θ = 57.5°, rel. 19
- 2θ = 59.0°, rel. 18
- 2θ = 64.5°, rel. 18
- 2θ = 70.2°, rel. 14


No. 7
This entry pairs a crystal structure of Tm4CdNi with its computed PXRD pattern. Radiation: Cu Kα, 1.54184 Å. Structure: a cell relaxed with GGA-PBE.

Structural model:
Unit cell a=9.4121 b=9.4121 c=9.4121 alpha=60.00 beta=60.00 gamma=60.00
Fractional coordinates of all 24 atoms:
Tm1 0.1854 0.1854 0.8146
Tm2 0.1854 0.8146 0.1854
Tm3 0.1854 0.8146 0.8146
Tm4 0.4016 0.4016 0.4016
Tm5 0.4016 0.4016 0.7951
Tm6 0.4016 0.7951 0.4016
Tm7 0.5631 0.5631 0.9369
Tm8 0.5631 0.9369 0.5631
Tm9 0.5631 0.9369 0.9369
Tm10 0.7951 0.4016 0.4016
Tm11 0.8146 0.1854 0.1854
Tm12 0.8146 0.1854 0.8146
Tm13 0.8146 0.8146 0.1854
Tm14 0.9369 0.5631 0.5631
Tm15 0.9369 0.5631 0.9369
Tm16 0.9369 0.9369 0.5631
Cd1 0.1685 0.1685 0.1685
Cd2 0.1685 0.1685 0.4944
Cd3 0.1685 0.4944 0.1685
Cd4 0.4944 0.1685 0.1685
Ni1 0.1773 0.6076 0.6076
Ni2 0.6076 0.1773 0.6076
Ni3 0.6076 0.6076 0.1773
Ni4 0.6076 0.6076 0.6076

Most intense lines, 2θ from 10° to 90°, sorted by position:
- 2θ = 29.2°, rel. 36
- 2θ = 33.0°, rel. 60
- 2θ = 35.0°, rel. 100
- 2θ = 38.3°, rel. 25
- 2θ = 56.6°, rel. 13
- 2θ = 58.9°, rel. 53
- 2θ = 60.2°, rel. 12
- 2θ = 70.4°, rel. 16
- 2θ = 88.1°, rel. 10
- 2θ = 89.2°, rel. 16


No. 8
This entry pairs a crystal structure of YCd20Ni2 with its computed PXRD pattern. Radiation: Cu Kα, 1.54184 Å. Structure: a cell relaxed with GGA-PBE.

Structural model:
Unit cell a=11.1608 b=11.1608 c=11.1608 alpha=60.00 beta=60.00 gamma=60.00
Fractional coordinates of all 46 atoms:
Y1 0.1250 0.1250 0.1250
Y2 0.8750 0.8750 0.8750
Cd1 0.0000 0.0000 0.0000
Cd2 0.0000 0.0000 0.5000
Cd3 0.0000 0.5000 0.0000
Cd4 0.0560 0.3239 0.3239
Cd5 0.0560 0.3239 0.7961
Cd6 0.0560 0.7961 0.3239
Cd7 0.2039 0.6761 0.6761
Cd8 0.2039 0.6761 0.9440
Cd9 0.2039 0.9440 0.6761
Cd10 0.2382 0.2382 0.5118
Cd11 0.2382 0.5118 0.2382
Cd12 0.2382 0.5118 0.5118
Cd13 0.3239 0.0560 0.3239
Cd14 0.3239 0.0560 0.7961
Cd15 0.3239 0.3239 0.0560
Cd16 0.3239 0.3239 0.7961
Cd17 0.3239 0.7961 0.0560
Cd18 0.3239 0.7961 0.3239
Cd19 0.4882 0.4882 0.7618
Cd20 0.4882 0.7618 0.4882
Cd21 0.4882 0.7618 0.7618
Cd22 0.5000 0.0000 0.0000
Cd23 0.5118 0.2382 0.2382
Cd24 0.5118 0.2382 0.5118
Cd25 0.5118 0.5118 0.2382
Cd26 0.6761 0.2039 0.6761
Cd27 0.6761 0.2039 0.9440
Cd28 0.6761 0.6761 0.2039
Cd29 0.6761 0.6761 0.9440
Cd30 0.6761 0.9440 0.2039
Cd31 0.6761 0.9440 0.6761
Cd32 0.7618 0.4882 0.4882
Cd33 0.7618 0.4882 0.7618
Cd34 0.7618 0.7618 0.4882
Cd35 0.7961 0.0560 0.3239
Cd36 0.7961 0.3239 0.0560
Cd37 0.7961 0.3239 0.3239
Cd38 0.9440 0.2039 0.6761
Cd39 0.9440 0.6761 0.2039
Cd40 0.9440 0.6761 0.6761
Ni1 0.0000 0.5000 0.5000
Ni2 0.5000 0.0000 0.5000
Ni3 0.5000 0.5000 0.0000
Ni4 0.5000 0.5000 0.5000

Most intense lines, 2θ from 10° to 90°, sorted by position:
- 2θ = 33.6°, rel. 100
- 2θ = 34.1°, rel. 18
- 2θ = 36.0°, rel. 34
- 2θ = 37.4°, rel. 66
- 2θ = 37.8°, rel. 73
- 2θ = 39.6°, rel. 26
- 2θ = 40.8°, rel. 34
- 2θ = 49.0°, rel. 20
- 2θ = 67.1°, rel. 45
- 2θ = 70.3°, rel. 19


What did the sixth record say?
This entry pairs a crystal structure of Tb2CdNi2 with its computed PXRD pattern. Radiation: Cu Kα, 1.54184 Å. Structure: a cell relaxed with GGA-PBE.

Structural model:
Unit cell a=7.3412 b=7.3412 c=3.6899 alpha=90.00 beta=90.00 gamma=90.00
Fractional coordinates of all 10 atoms:
Tb1 0.1793 0.3207 0.0000
Tb2 0.3207 0.8207 0.0000
Tb3 0.6793 0.1793 0.0000
Tb4 0.8207 0.6793 0.0000
Cd1 0.0000 0.0000 0.5000
Cd2 0.5000 0.5000 0.5000
Ni1 0.1157 0.6157 0.5000
Ni2 0.3843 0.1157 0.5000
Ni3 0.6157 0.8843 0.5000
Ni4 0.8843 0.3843 0.5000

Most intense lines, 2θ from 10° to 90°, sorted by position:
- 2θ = 27.2°, rel. 21
- 2θ = 34.5°, rel. 86
- 2θ = 36.6°, rel. 100
- 2θ = 38.8°, rel. 41
- 2θ = 49.4°, rel. 18
- 2θ = 51.3°, rel. 19
- 2θ = 57.5°, rel. 19
- 2θ = 59.0°, rel. 18
- 2θ = 64.5°, rel. 18
- 2θ = 70.2°, rel. 14